Simulated powder diffraction line list
Compound: Ta2TiNb6
Radiation: copper Kα
Structure: DFT lattice parameters and positions (PBE)
Neutral-atom scattering factors, no anomalous dispersion.

Top 10 peaks for 10° ≤ 2θ ≤ 80°, by intensity:
- 2θ 38.53, intensity 100
- 2θ 38.37, intensity 68
- 2θ 38.60, intensity 33
- 2θ 55.60, intensity 22
- 2θ 69.68, intensity 17
- 2θ 69.81, intensity 17
- 2θ 55.51, intensity 12
- 2θ 69.33, intensity 11
- 2θ 69.49, intensity 11
- 2θ 17.38, intensity 10

Structural model:
Cell lengths 4.6954, 5.4835, 7.1873 Å; angles 110.20, 108.95, 90.22 degrees
Fractional coordinates of all 9 atoms:
Ta  0.1116  0.0659  0.2234
Ta  0.8884  0.9341  0.7766
Ti  0.0000  0.5000  0.0000
Nb  0.2259  0.6215  0.4519
Nb  0.3373  0.1719  0.6739
Nb  0.4468  0.7240  0.8933
Nb  0.5532  0.2760  0.1067
Nb  0.6627  0.8281  0.3261
Nb  0.7741  0.3785  0.5481


Simulated powder diffraction line list
Compound: AcGd6
Radiation: copper Kα
Structure: DFT lattice parameters and positions (PBE)
Neutral-atom scattering factors, no anomalous dispersion.

Top 10 peaks for 10° ≤ 2θ ≤ 80°, by intensity:
- 2θ 26.93, intensity 100
- 2θ 41.68, intensity 63
- 2θ 21.92, intensity 41
- 2θ 44.70, intensity 30
- 2θ 38.46, intensity 23
- 2θ 65.07, intensity 20
- 2θ 71.75, intensity 19
- 2θ 62.76, intensity 19
- 2θ 50.32, intensity 18
- 2θ 52.96, intensity 16

Structural model:
Cell lengths 7.0226, 7.0226, 7.0226 Å; angles 109.47, 109.47, 109.47 degrees
Fractional coordinates of all 7 atoms:
Ac  0.0000  0.0000  0.0000
Gd  0.2500  0.5000  0.7500
Gd  0.2500  0.7500  0.5000
Gd  0.5000  0.2500  0.7500
Gd  0.5000  0.7500  0.2500
Gd  0.7500  0.2500  0.5000
Gd  0.7500  0.5000  0.2500


Simulated powder diffraction line list
Compound: Pr4HoPb4
Radiation: copper Kα
Structure: DFT lattice parameters and positions (PBE)
Neutral-atom scattering factors, no anomalous dispersion.

Top 10 peaks for 10° ≤ 2θ ≤ 80°, by intensity:
- 2θ 29.26, intensity 100
- 2θ 34.16, intensity 54
- 2θ 28.54, intensity 42
- 2θ 43.50, intensity 33
- 2θ 47.60, intensity 31
- 2θ 41.85, intensity 30
- 2θ 64.08, intensity 20
- 2θ 58.58, intensity 19
- 2θ 68.40, intensity 13
- 2θ 16.25, intensity 13

Structural model:
Cell lengths 9.6524, 9.6524, 6.6118 Å; angles 90.00, 90.00, 90.00 degrees
Fractional coordinates of all 18 atoms:
Pr  0.0277  0.6706  0.1169
Pr  0.1706  0.9723  0.6169
Pr  0.3294  0.5277  0.6169
Pr  0.4723  0.8294  0.1169
Pr  0.5277  0.1706  0.8831
Pr  0.6706  0.4723  0.3831
Pr  0.8294  0.0277  0.3831
Pr  0.9723  0.3294  0.8831
Ho  0.2500  0.2500  0.2500
Ho  0.7500  0.7500  0.7500
Pb  0.0249  0.6536  0.6080
Pb  0.1536  0.9751  0.1080
Pb  0.3464  0.5249  0.1080
Pb  0.4751  0.8464  0.6080
Pb  0.5249  0.1536  0.3920
Pb  0.6536  0.4751  0.8920
Pb  0.8464  0.0249  0.8920
Pb  0.9751  0.3464  0.3920


Simulated powder diffraction line list
Compound: ThNi4B2
Radiation: copper Kα
Structure: DFT lattice parameters and positions (PBE)
Neutral-atom scattering factors, no anomalous dispersion.

Top 10 peaks for 10° ≤ 2θ ≤ 80°, by intensity:
- 2θ 40.78, intensity 100
- 2θ 25.46, intensity 33
- 2θ 28.04, intensity 31
- 2θ 32.20, intensity 24
- 2θ 41.85, intensity 21
- 2θ 24.36, intensity 18
- 2θ 37.10, intensity 16
- 2θ 49.92, intensity 16
- 2θ 50.21, intensity 15
- 2θ 75.71, intensity 13

Structural model:
Cell lengths 6.7251, 6.7251, 3.6538 Å; angles 90.00, 90.00, 148.65 degrees
Fractional coordinates of all 7 atoms:
Th  0.0000  0.0000  0.0000
Ni  0.1819  0.8181  0.5000
Ni  0.3207  0.6793  0.0000
Ni  0.6793  0.3207  0.0000
Ni  0.8181  0.1819  0.5000
B  0.3873  0.6127  0.5000
B  0.6127  0.3873  0.5000


Simulated powder diffraction line list
Compound: ThPO5
Radiation: copper Kα
Structure: DFT lattice parameters and positions (PBE)
Neutral-atom scattering factors, no anomalous dispersion.

Top 10 peaks for 10° ≤ 2θ ≤ 80°, by intensity:
- 2θ 20.70, intensity 100
- 2θ 31.74, intensity 79
- 2θ 24.75, intensity 65
- 2θ 13.68, intensity 58
- 2θ 18.74, intensity 51
- 2θ 48.17, intensity 45
- 2θ 33.96, intensity 32
- 2θ 41.88, intensity 32
- 2θ 41.25, intensity 28
- 2θ 19.96, intensity 23

Structural model:
Cell lengths 5.9474, 5.9474, 12.9484 Å; angles 90.00, 90.00, 105.55 degrees
Fractional coordinates of all 28 atoms:
Th  0.2113  0.7887  0.9246
Th  0.2887  0.7113  0.4246
Th  0.7113  0.2887  0.5754
Th  0.7887  0.2113  0.0754
P  0.1066  0.8934  0.6394
P  0.3934  0.6066  0.1394
P  0.6066  0.3934  0.8606
P  0.8934  0.1066  0.3606
O  0.0040  0.6577  0.5800
O  0.0349  0.9651  0.0523
O  0.0547  0.9453  0.3709
O  0.1523  0.8477  0.7527
O  0.1577  0.5040  0.0800
O  0.3423  0.9960  0.5800
O  0.3477  0.6523  0.2527
O  0.4453  0.5547  0.8709
O  0.4651  0.5349  0.5523
O  0.4960  0.8423  0.0800
O  0.5040  0.1577  0.9200
O  0.5349  0.4651  0.4477
O  0.5547  0.4453  0.1291
O  0.6523  0.3477  0.7473
O  0.6577  0.0040  0.4200
O  0.8423  0.4960  0.9200
O  0.8477  0.1523  0.2473
O  0.9453  0.0547  0.6291
O  0.9651  0.0349  0.9477
O  0.9960  0.3423  0.4200


Simulated powder diffraction line list
Compound: BiPdPt5
Radiation: copper Kα
Structure: DFT lattice parameters and positions (PBE)
Neutral-atom scattering factors, no anomalous dispersion.

Top 10 peaks for 10° ≤ 2θ ≤ 80°, by intensity:
- 2θ 39.17, intensity 100
- 2θ 46.48, intensity 32
- 2θ 65.65, intensity 22
- 2θ 43.64, intensity 18
- 2θ 77.14, intensity 15
- 2θ 67.83, intensity 10
- 2θ 22.76, intensity 10
- 2θ 31.45, intensity 9
- 2θ 21.42, intensity 5
- 2θ 10.66, intensity 5

Structural model:
Cell lengths 3.9079, 3.9079, 8.2961 Å; angles 90.00, 90.00, 90.00 degrees
Fractional coordinates of all 7 atoms:
Bi  0.0000  0.0000  0.0000
Pd  0.5000  0.5000  0.5000
Pt  0.0000  0.0000  0.5000
Pt  0.0000  0.5000  0.2533
Pt  0.0000  0.5000  0.7467
Pt  0.5000  0.0000  0.2533
Pt  0.5000  0.0000  0.7467